Record 1
This entry pairs a crystal structure of K5Cd2Hg5 with its computed powder diffraction line list. Radiation: λ = 1.5418 Å (Cu Kα). Structure: the GGA-PBE geometry in Alexandria.

Structural model:
```
K5Cd2Hg5
1.0
9.024 -2.443 0.000
9.024 2.443 0.000
-8.911 0.000 10.311
K Cd Hg
5 2 5
direct
0.000 0.000 0.000
0.102 0.102 0.412
0.196 0.196 0.824
0.804 0.804 0.176
0.898 0.898 0.588
0.353 0.353 0.742
0.647 0.647 0.258
0.272 0.272 0.340
0.437 0.437 0.144
0.500 0.500 0.500
0.563 0.563 0.856
0.728 0.728 0.660
```

Principal peaks in the range 5 to 70 degrees two-theta, by angle:
2theta  intensity
19.3  89
19.9  94
26.9  75
28.8  69
31.1  29
33.4  100
36.8  43
38.6  40
39.8  38
40.5  25
42.2  29
54.4  30



Record 2
This entry pairs a crystal structure of K12CdHg6 with its computed powder diffraction line list. Radiation: λ = 1.5418 Å (Cu Kα). Structure: the GGA-PBE geometry in Alexandria.

Structural model:
```
K12CdHg6
1.0
-6.063 6.063 6.063
6.063 -6.063 6.063
6.063 6.063 -6.063
K Cd Hg
12 1 6
direct
0.106 0.289 0.817
0.183 0.472 0.289
0.183 0.894 0.711
0.289 0.183 0.472
0.289 0.817 0.106
0.472 0.289 0.183
0.528 0.711 0.817
0.711 0.183 0.894
0.711 0.817 0.528
0.817 0.106 0.289
0.817 0.528 0.711
0.894 0.711 0.183
0.000 0.000 0.000
0.123 0.500 0.623
0.377 0.877 0.500
0.500 0.377 0.877
0.500 0.623 0.123
0.623 0.123 0.500
0.877 0.500 0.377
```

Principal peaks in the range 5 to 70 degrees two-theta, by angle:
2theta  intensity
10.3  30
14.6  69
23.2  28
27.5  100
31.3  26
37.8  66
40.8  17
44.9  22
48.7  25
53.4  14
60.1  16
66.3  20



Record 3
This entry pairs a crystal structure of KLiCd2Hg5 with its computed powder diffraction line list. Radiation: λ = 1.5418 Å (Cu Kα). Structure: the GGA-PBE geometry in Alexandria.

Structural model:
```
KLiCd2Hg5
1.0
-2.638 3.346 7.525
2.638 -3.346 7.525
2.638 3.346 -7.525
K Li Cd Hg
1 1 2 5
direct
0.000 0.000 0.000
0.500 0.500 0.000
0.309 0.809 0.500
0.691 0.191 0.500
0.099 0.356 0.742
0.386 0.644 0.742
0.500 0.000 0.500
0.614 0.356 0.258
0.901 0.644 0.258
```

Principal peaks in the range 5 to 70 degrees two-theta, by angle:
2theta  intensity
14.5  24
21.4  36
24.5  83
32.2  100
34.0  52
34.3  23
35.8  23
35.9  53
36.5  51
50.3  58
53.6  30
61.0  18